Ba4LiRh3O12: computed X-ray powder pattern (Cu Kα X-rays), based on DFT lattice parameters and positions (GGA-PBE).
Peak positions follow from Bragg's law for the DFT cell and can differ from measured ones.

Largest 12 diffraction maxima, low angle first, 10 to 90 degrees two-theta:
2θ (°)  d [Å]  I/Imax
15.28  5.801  10
21.67  4.102  3
26.62  3.349  5
30.83  2.900  100
38.00  2.368  10
44.16  2.051  32
54.83  1.674  40
64.23  1.450  20
72.94  1.297  17
77.13  1.237  3
81.25  1.184  6
89.38  1.096  22

Crystal structure
```
Ba4LiRh3O12
1.0
-4.102 4.102 4.102
4.102 -4.102 4.102
4.102 4.102 -4.102
Ba Li Rh O
4 1 3 12
Direct
0.000 0.000 0.500
0.000 0.500 0.000
0.500 0.000 0.000
0.500 0.500 0.500
0.000 0.000 0.000
0.000 0.500 0.500
0.500 0.000 0.500
0.500 0.500 0.000
0.000 0.265 0.265
0.000 0.735 0.735
0.250 0.500 0.750
0.250 0.750 0.500
0.265 0.000 0.265
0.265 0.265 0.000
0.500 0.250 0.750
0.500 0.750 0.250
0.735 0.000 0.735
0.735 0.735 0.000
0.750 0.250 0.500
0.750 0.500 0.250
```


KTh4Te8: computed X-ray powder pattern (Cu Kα X-rays), based on DFT lattice parameters and positions (GGA-PBE).
Peak positions follow from Bragg's law for the DFT cell and can differ from measured ones.

Largest 12 diffraction maxima, low angle first, 10 to 90 degrees two-theta:
2θ (°)  d [Å]  I/Imax
24.27  3.667  45
25.68  3.469  44
30.70  2.912  100
34.02  2.635  29
37.73  2.384  43
41.83  2.160  43
43.00  2.103  25
52.77  1.735  22
57.59  1.601  13
58.37  1.581  20
66.41  1.408  19
69.50  1.352  19

Crystal structure
```
KTh4Te8
1.0
8.638 0.000 0.000
-4.319 7.481 0.000
0.000 0.000 18.565
K Th Te
2 8 16
Direct
0.000 0.000 0.000
0.000 0.000 0.500
0.000 0.000 0.250
0.000 0.000 0.750
0.006 0.503 0.250
0.497 0.503 0.250
0.497 0.994 0.250
0.503 0.006 0.750
0.503 0.497 0.750
0.994 0.497 0.750
0.167 0.335 0.645
0.167 0.335 0.855
0.167 0.833 0.645
0.167 0.833 0.855
0.333 0.667 0.143
0.333 0.667 0.357
0.335 0.167 0.145
0.335 0.167 0.355
0.665 0.833 0.645
0.665 0.833 0.855
0.667 0.333 0.643
0.667 0.333 0.857
0.833 0.167 0.145
0.833 0.167 0.355
0.833 0.665 0.145
0.833 0.665 0.355
```


U6Se12Cl: computed X-ray powder pattern (Cu Kα X-rays), based on DFT lattice parameters and positions (GGA-PBE).
Peak positions follow from Bragg's law for the DFT cell and can differ from measured ones.

Largest 12 diffraction maxima, low angle first, 10 to 90 degrees two-theta:
2θ (°)  d [Å]  I/Imax
11.51  7.688  80
13.41  6.602  57
22.28  3.990  92
23.14  3.844  74
35.01  2.563  78
35.29  2.544  100
35.86  2.504  51
38.07  2.364  43
40.38  2.234  40
43.22  2.093  62
44.77  2.024  39
56.88  1.619  40

Crystal structure
```
U6Se12Cl
1.0
6.602 3.812 3.462
-6.602 3.812 3.462
0.000 -7.624 3.462
U Se Cl
6 12 1
Direct
0.253 0.253 0.668
0.253 0.668 0.253
0.332 0.747 0.747
0.668 0.253 0.253
0.747 0.332 0.747
0.747 0.747 0.332
0.128 0.500 0.872
0.128 0.872 0.500
0.185 0.447 0.447
0.447 0.185 0.447
0.447 0.447 0.185
0.500 0.128 0.872
0.500 0.872 0.128
0.553 0.553 0.815
0.553 0.815 0.553
0.815 0.553 0.553
0.872 0.128 0.500
0.872 0.500 0.128
0.000 0.000 0.000
```


TlZnGa: computed X-ray powder pattern (Cu Kα X-rays), based on DFT lattice parameters and positions (GGA-PBE).
Peak positions follow from Bragg's law for the DFT cell and can differ from measured ones.

Largest 12 diffraction maxima, low angle first, 10 to 90 degrees two-theta:
2θ (°)  d [Å]  I/Imax
13.96  6.342  22
30.11  2.968  28
31.44  2.845  21
32.24  2.777  44
32.59  2.747  18
33.05  2.710  100
33.61  2.667  16
38.97  2.311  16
39.66  2.272  18
42.42  2.131  37
50.97  1.792  21
54.36  1.688  20

Crystal structure
```
TlZnGa
1.0
6.233 0.000 0.000
0.000 3.376 0.000
-0.280 0.000 6.342
Tl Zn Ga
2 2 2
Direct
0.230 0.000 0.427
0.770 0.500 0.573
0.477 0.001 0.837
0.523 0.501 0.163
0.148 0.503 0.915
0.852 0.003 0.085
```


HgAsAu: computed X-ray powder pattern (Cu Kα X-rays), based on DFT lattice parameters and positions (GGA-PBE).
Peak positions follow from Bragg's law for the DFT cell and can differ from measured ones.

Largest 12 diffraction maxima, low angle first, 10 to 90 degrees two-theta:
2θ (°)  d [Å]  I/Imax
22.76  3.906  32
29.66  3.012  33
31.06  2.879  100
38.62  2.331  72
38.98  2.310  55
43.85  2.065  25
49.43  1.844  33
58.05  1.589  19
60.10  1.540  31
63.26  1.470  15
74.89  1.268  17
80.15  1.197  16

Crystal structure
```
HgAsAu
1.0
-1.412 2.065 6.025
1.412 -2.065 6.025
1.412 2.065 -6.025
Hg As Au
1 1 1
Direct
0.000 0.000 0.000
0.289 0.289 0.000
0.699 0.699 0.000
```


NaIn5Sn6: computed X-ray powder pattern (Cu Kα X-rays), based on DFT lattice parameters and positions (GGA-PBE).
Peak positions follow from Bragg's law for the DFT cell and can differ from measured ones.

Largest 12 diffraction maxima, low angle first, 10 to 90 degrees two-theta:
2θ (°)  d [Å]  I/Imax
32.36  2.766  100
33.08  2.708  94
34.67  2.587  41
36.80  2.442  36
42.10  2.146  24
50.45  1.809  14
55.64  1.652  21
57.13  1.612  20
60.25  1.536  16
61.58  1.506  15
63.07  1.474  15
64.37  1.447  14

Crystal structure
```
NaIn5Sn6
1.0
2.444 -6.439 0.000
2.444 6.439 0.000
-0.374 0.000 10.348
Na In Sn
1 5 6
Direct
0.000 0.000 0.000
0.000 0.000 0.500
0.327 0.673 0.000
0.337 0.663 0.500
0.663 0.337 0.500
0.673 0.327 0.000
0.164 0.831 0.745
0.169 0.836 0.255
0.497 0.497 0.762
0.503 0.503 0.238
0.831 0.164 0.745
0.836 0.169 0.255
```


Ac2La6Pm5: computed X-ray powder pattern (Cu Kα X-rays), based on DFT lattice parameters and positions (GGA-PBE).
Peak positions follow from Bragg's law for the DFT cell and can differ from measured ones.

Largest 12 diffraction maxima, low angle first, 10 to 90 degrees two-theta:
2θ (°)  d [Å]  I/Imax
25.25  3.528  26
26.28  3.391  30
29.19  3.060  89
30.13  2.966  68
30.28  2.952  27
30.46  2.935  61
30.67  2.915  100
32.70  2.738  42
33.45  2.679  26
34.79  2.578  28
48.67  1.871  23
58.48  1.578  28

Crystal structure
```
Ac2La6Pm5
1.0
12.364 0.000 0.000
0.000 21.150 0.000
0.000 0.000 3.742
Ac La Pm
4 12 10
Direct
0.166 0.221 0.000
0.334 0.721 0.000
0.666 0.279 0.000
0.834 0.779 0.000
0.051 0.924 0.000
0.070 0.637 0.000
0.188 0.380 0.500
0.312 0.880 0.500
0.430 0.137 0.000
0.449 0.424 0.000
0.551 0.576 0.000
0.570 0.863 0.000
0.688 0.120 0.500
0.812 0.620 0.500
0.930 0.363 0.000
0.949 0.076 0.000
0.000 0.500 0.500
0.093 0.781 0.500
0.208 0.056 0.500
0.292 0.556 0.500
0.407 0.281 0.500
0.500 0.000 0.500
0.593 0.719 0.500
0.708 0.444 0.500
0.792 0.944 0.500
0.907 0.219 0.500
```


DyB3Rh3: computed X-ray powder pattern (Cu Kα X-rays), based on DFT lattice parameters and positions (GGA-PBE).
Peak positions follow from Bragg's law for the DFT cell and can differ from measured ones.

Largest 12 diffraction maxima, low angle first, 10 to 90 degrees two-theta:
2θ (°)  d [Å]  I/Imax
31.75  2.818  32
32.14  2.785  100
32.38  2.765  40
32.82  2.729  29
33.15  2.703  29
33.50  2.675  71
37.57  2.394  61
38.24  2.354  25
39.21  2.298  40
39.41  2.286  57
42.62  2.121  34
44.32  2.044  27

Crystal structure
```
DyB3Rh3
1.0
7.104 0.000 0.000
2.195 7.120 0.000
1.733 1.441 7.114
Dy B Rh
4 12 12
Direct
0.000 0.000 0.000
0.121 0.616 0.479
0.591 0.091 0.347
0.721 0.497 0.897
0.064 0.896 0.665
0.103 0.646 0.143
0.115 0.302 0.013
0.205 0.261 0.453
0.333 0.095 0.046
0.365 0.455 0.783
0.452 0.953 0.858
0.475 0.747 0.383
0.578 0.481 0.264
0.645 0.895 0.014
0.686 0.718 0.514
0.930 0.022 0.456
0.084 0.609 0.885
0.225 0.011 0.345
0.265 0.227 0.731
0.303 0.378 0.165
0.380 0.806 0.687
0.388 0.736 0.120
0.593 0.184 0.879
0.596 0.463 0.548
0.761 0.872 0.687
0.779 0.686 0.217
0.890 0.294 0.253
0.945 0.198 0.625
```